[1]
Tb5Ho5Bi6: computed XRD peak list (Cu Ka), based on the PBE geometry in Alexandria.
Lines closer than 0.1° are merged.

Most intense lines, 2θ from 15° to 90°, by angle:
index, d_spacing, two_theta, I/Imax
2 0 0, 3.184, 28.02, 23
0 4 2, 3.006, 29.72, 24
1 4 2, 2.719, 32.95, 100
0 3 3, 2.651, 33.81, 50
2 3 1, 2.617, 34.27, 73
3 4 2, 1.734, 52.80, 20

```
data_Tb5Ho5Bi6
_symmetry_space_group_name_H-M 'A m m 2'
_symmetry_Int_Tables_number 38
_cell_length_a 6.3687
_cell_length_b 15.9267
_cell_length_c 9.1729
_cell_angle_alpha 90.00
_cell_angle_beta 90.00
_cell_angle_gamma 90.00
loop_
_symmetry_equiv_pos_as_xyz
'x,y,z'
'-x,-y,z'
'-x,y,z'
'x,-y,z'
'x,y+1/2,z+1/2'
'-x,-y+1/2,z+1/2'
'-x,y+1/2,z+1/2'
'x,-y+1/2,z+1/2'
loop_
_atom_site_label
_atom_site_type_symbol
_atom_site_fract_x
_atom_site_fract_y
_atom_site_fract_z
_atom_site_occupancy
Tb1 Tb 0.0000 0.0000 0.0000 1
Tb2 Tb 0.2500 0.1664 0.7431 1
Ho1 Ho 0.0000 0.1217 0.3644 1
Ho2 Ho 0.5000 0.0000 0.4846 1
Ho3 Ho 0.5000 0.1218 0.1213 1
Bi1 Bi 0.0000 0.0000 0.6301 1
Bi2 Bi 0.0000 0.1947 0.0492 1
Bi3 Bi 0.5000 0.0000 0.8548 1
Bi4 Bi 0.5000 0.1941 0.4369 1
```

---

[2]
Tb2Ho5Bi5: computed XRD peak list (Cu Ka), based on the PBE geometry in Alexandria.
Lines closer than 0.1° are merged.

Most intense lines, 2θ from 15° to 90°, by angle:
index, d_spacing, two_theta, I/Imax
2 0 2, 3.813, 23.33, 53
3 1 0, 3.162, 28.22, 69
3 1 -2, 3.143, 28.39, 84
3 1 1, 2.875, 31.10, 72
3 1 -3, 2.848, 31.41, 100
0 2 0, 2.213, 40.77, 65

```
data_Tb2Ho5Bi5
_symmetry_space_group_name_H-M 'C 1 2/m 1'
_symmetry_Int_Tables_number 12
_cell_length_a 14.5708
_cell_length_b 4.4261
_cell_length_c 12.6968
_cell_angle_alpha 90.00
_cell_angle_beta 111.53
_cell_angle_gamma 90.00
loop_
_symmetry_equiv_pos_as_xyz
'x,y,z'
'-x,-y,-z'
'-x,y,-z'
'x,-y,z'
'x+1/2,y+1/2,z'
'-x+1/2,-y+1/2,-z'
'-x+1/2,y+1/2,-z'
'x+1/2,-y+1/2,z'
loop_
_atom_site_label
_atom_site_type_symbol
_atom_site_fract_x
_atom_site_fract_y
_atom_site_fract_z
_atom_site_occupancy
Tb1 Tb 0.0483 0.0000 0.2847 1
Ho1 Ho 0.0000 0.5000 0.0000 1
Ho2 Ho 0.1625 0.5000 0.5302 1
Ho3 Ho 0.2064 0.5000 0.8323 1
Bi1 Bi 0.0000 0.0000 0.5000 1
Bi2 Bi 0.1219 0.0000 0.9415 1
Bi3 Bi 0.1993 0.5000 0.2838 1
```